1.
Structure and calculated XRD peak list of Nd2Al3Cu (the GGA-PBE geometry in Alexandria; Cu Kα X-rays).
Neutral-atom scattering factors, no anomalous dispersion.

The 8 most intense peaks (10° ≤ 2θ ≤ 90°), low angle first:
(0 0 4), 2θ = 22.66°, rel. 43.1; (2 2 2), 2θ = 32.75°, rel. 100.0; (0 4 0), 2θ = 39.78°, rel. 42.6; (4 0 0), 2θ = 47.71°, rel. 8.3; (2 0 8), 2θ = 52.45°, rel. 26.1; (4 0 4), 2θ = 53.44°, rel. 8.7; (4 4 0), 2θ = 63.81°, rel. 20.5; (2 4 8), 2θ = 67.79°, rel. 23.9

Structural model:
```
data_Nd2Al3Cu
_chemical_formula_sum 'Nd16 Al24 Cu8'
_cell_length_a 7.6242
_cell_length_b 9.0627
_cell_length_c 15.6975
_cell_angle_alpha 90.00
_cell_angle_beta 90.00
_cell_angle_gamma 90.00
_space_group_name_H-M_alt 'F m m m'
_space_group_IT_number 69
_space_group_name_Hall '-F 2 2'
loop_
_atom_site_label
_atom_site_fract_x
_atom_site_fract_y
_atom_site_fract_z
Nd1 0.2432 0.0000 0.0000
Nd2 0.2500 0.2500 0.2500
Al1 0.0000 0.0000 0.3307
Al2 0.0000 0.2468 0.0851
Cu1 0.0000 0.0000 0.1677
```

2.
Structure and calculated XRD peak list of Nd2Al9Cu3 (the GGA-PBE geometry in Alexandria; Cu Kα X-rays).
Neutral-atom scattering factors, no anomalous dispersion.

The 8 most intense peaks (10° ≤ 2θ ≤ 90°), low angle first:
(3 1 -2), 2θ = 24.99°, rel. 40.3; (0 2 1), 2θ = 25.24°, rel. 66.0; (3 1 1), 2θ = 29.82°, rel. 39.9; (3 1 -4), 2θ = 35.71°, rel. 47.9; (0 0 4), 2θ = 36.10°, rel. 100.0; (3 1 2), 2θ = 36.22°, rel. 50.7; (6 0 -2), 2θ = 41.10°, rel. 44.9; (3 3 -1), 2θ = 41.36°, rel. 84.4

Structural model:
```
data_Nd2Al9Cu3
_chemical_formula_sum 'Nd8 Al36 Cu12'
_cell_length_a 13.1794
_cell_length_b 7.5478
_cell_length_c 10.9372
_cell_angle_alpha 90.00
_cell_angle_beta 114.62
_cell_angle_gamma 90.00
_space_group_name_H-M_alt 'C 1 2/c 1'
_space_group_IT_number 15
_space_group_name_Hall '-C 2yc'
loop_
_atom_site_label
_atom_site_fract_x
_atom_site_fract_y
_atom_site_fract_z
Nd1 0.1677 0.0843 0.2489
Al1 0.0000 0.3752 0.2500
Al2 0.0620 0.0852 0.9346
Al3 0.1001 0.4172 0.0537
Al4 0.1014 0.3144 0.7489
Al5 0.2264 0.4177 0.4364
Cu1 0.0855 0.2452 0.5024
Cu2 0.2500 0.2500 0.0000
```

3.
Structure and calculated XRD peak list of Nd8Al2Cu (the GGA-PBE geometry in Alexandria; Cu Kα X-rays).
Neutral-atom scattering factors, no anomalous dispersion.

The 8 most intense peaks (10° ≤ 2θ ≤ 90°), low angle first:
(3 1 1), 2θ = 27.96°, rel. 69.0; (6 0 -1), 2θ = 29.02°, rel. 76.8; (5 1 0), 2θ = 29.79°, rel. 98.4; (5 1 -1), 2θ = 30.20°, rel. 47.9; (1 1 -2), 2θ = 31.32°, rel. 99.9; (1 1 2), 2θ = 33.31°, rel. 77.2; (0 2 0), 2θ = 34.70°, rel. 100.0; (6 2 -1), 2θ = 45.85°, rel. 49.5

Structural model:
```
data_Nd8Al2Cu
_chemical_formula_sum 'Nd16 Al4 Cu2'
_cell_length_a 18.9606
_cell_length_b 5.1695
_cell_length_c 6.8652
_cell_angle_alpha 90.00
_cell_angle_beta 103.88
_cell_angle_gamma 90.00
_space_group_name_H-M_alt 'C 1 2/m 1'
_space_group_IT_number 12
_space_group_name_Hall '-C 2y'
loop_
_atom_site_label
_atom_site_fract_x
_atom_site_fract_y
_atom_site_fract_z
Nd1 0.0177 0.0000 0.2776
Nd2 0.0939 0.5000 0.9640
Nd3 0.1535 0.5000 0.4729
Nd4 0.2084 0.0000 0.7990
Al1 0.1847 0.0000 0.2434
Cu1 0.0000 0.5000 0.5000
```

4.
Structure and calculated XRD peak list of Nd3AlCu2 (the GGA-PBE geometry in Alexandria; Cu Kα X-rays).
Neutral-atom scattering factors, no anomalous dispersion.

The 8 most intense peaks (10° ≤ 2θ ≤ 90°), low angle first:
(1 1 3), 2θ = 27.89°, rel. 100.0; (3 0 0), 2θ = 35.79°, rel. 65.5; (1 1 6), 2θ = 43.59°, rel. 30.7; (2 2 3), 2θ = 45.97°, rel. 25.2; (2 2 6), 2θ = 57.62°, rel. 13.0; (4 1 3), 2θ = 59.59°, rel. 23.5; (3 3 0), 2θ = 64.31°, rel. 11.3; (4 1 6), 2θ = 69.72°, rel. 14.3

Structural model:
```
data_Nd3AlCu2
_chemical_formula_sum 'Nd18 Al6 Cu12'
_cell_length_a 8.6911
_cell_length_b 8.6911
_cell_length_c 14.1834
_cell_angle_alpha 90.00
_cell_angle_beta 90.00
_cell_angle_gamma 120.00
_space_group_name_H-M_alt 'R -3 c'
_space_group_IT_number 167
_space_group_name_Hall '-R 3 2"c'
loop_
_atom_site_label
_atom_site_fract_x
_atom_site_fract_y
_atom_site_fract_z
Nd1 0.0000 0.3258 0.2500
Al1 0.0000 0.0000 0.0000
Cu1 0.0000 0.0000 0.1665
```

5.
Structure and calculated XRD peak list of NdAl6Cu12 (the GGA-PBE geometry in Alexandria; Cu Kα X-rays).
Neutral-atom scattering factors, no anomalous dispersion.

The 8 most intense peaks (10° ≤ 2θ ≤ 90°), low angle first:
(1 1 3), 2θ = 35.80°, rel. 56.9; (1 3 1), 2θ = 36.28°, rel. 100.0; (3 1 2), 2θ = 40.82°, rel. 15.7; (0 3 3), 2θ = 43.18°, rel. 24.5; (3 2 1), 2θ = 43.60°, rel. 15.6; (0 2 4), 2θ = 46.97°, rel. 25.7; (2 3 2), 2θ = 47.56°, rel. 22.4; (5 0 2), 2θ = 53.63°, rel. 34.3

Structural model:
```
data_NdAl6Cu12
_chemical_formula_sum 'Nd3 Al18 Cu36'
_cell_length_a 10.7752
_cell_length_b 10.7752
_cell_length_c 8.5024
_cell_angle_alpha 90.00
_cell_angle_beta 90.00
_cell_angle_gamma 120.00
_space_group_name_H-M_alt 'R -3 m'
_space_group_IT_number 166
_space_group_name_Hall '-R 3 2"'
loop_
_atom_site_label
_atom_site_fract_x
_atom_site_fract_y
_atom_site_fract_z
Nd1 0.0000 0.0000 0.0000
Al1 0.0534 0.5267 0.2450
Cu1 0.0000 0.3883 0.5000
Cu2 0.0858 0.1716 0.2965
```

6.
Structure and calculated XRD peak list of Nd3AlCu3 (the GGA-PBE geometry in Alexandria; Cu Kα X-rays).
Neutral-atom scattering factors, no anomalous dispersion.

The 8 most intense peaks (10° ≤ 2θ ≤ 90°), low angle first:
(1 1 2), 2θ = 26.00°, rel. 52.5; (1 1 3), 2θ = 29.78°, rel. 90.2; (1 3 0), 2θ = 33.04°, rel. 76.8; (1 1 4), 2θ = 34.43°, rel. 76.7; (1 3 3), 2θ = 38.49°, rel. 100.0; (0 0 6), 2θ = 38.92°, rel. 45.3; (0 4 3), 2θ = 39.28°, rel. 50.7; (2 0 0), 2θ = 42.57°, rel. 55.4

Structural model:
```
data_Nd3AlCu3
_chemical_formula_sum 'Nd12 Al4 Cu12'
_cell_length_a 4.2472
_cell_length_b 10.5638
_cell_length_c 13.8855
_cell_angle_alpha 90.00
_cell_angle_beta 90.00
_cell_angle_gamma 90.00
_space_group_name_H-M_alt 'C m c m'
_space_group_IT_number 63
_space_group_name_Hall '-C 2c 2'
loop_
_atom_site_label
_atom_site_fract_x
_atom_site_fract_y
_atom_site_fract_z
Nd1 0.0000 0.0041 0.2500
Nd2 0.0000 0.2895 0.1028
Al1 0.0000 0.0000 0.0000
Cu1 0.0000 0.2946 0.7500
Cu2 0.0000 0.4263 0.5908
```

7.
Structure and calculated XRD peak list of Nd4AlCu3 (the GGA-PBE geometry in Alexandria; Cu Kα X-rays).
Neutral-atom scattering factors, no anomalous dispersion.

The 8 most intense peaks (10° ≤ 2θ ≤ 90°), low angle first:
(0 1 2), 2θ = 25.13°, rel. 44.4; (0 0 4), 2θ = 31.32°, rel. 20.6; (1 1 1), 2θ = 31.80°, rel. 100.0; (1 0 3), 2θ = 33.36°, rel. 55.1; (0 1 4), 2θ = 37.25°, rel. 29.7; (1 1 3), 2θ = 39.01°, rel. 34.7; (0 2 0), 2θ = 39.90°, rel. 29.1; (1 2 3), 2θ = 52.96°, rel. 29.6

Structural model:
```
data_Nd4AlCu3
_chemical_formula_sum 'Nd4 Al1 Cu3'
_cell_length_a 3.7887
_cell_length_b 4.5187
_cell_length_c 11.4235
_cell_angle_alpha 90.00
_cell_angle_beta 90.00
_cell_angle_gamma 90.00
_space_group_name_H-M_alt 'P m m 2'
_space_group_IT_number 25
_space_group_name_Hall 'P 2 -2'
loop_
_atom_site_label
_atom_site_fract_x
_atom_site_fract_y
_atom_site_fract_z
Nd1 0.0000 0.0000 0.0000
Nd2 0.0000 0.5000 0.2765
Nd3 0.5000 0.0000 0.4816
Nd4 0.5000 0.5000 0.7914
Al1 0.0000 0.0000 0.7005
Cu1 0.0000 0.5000 0.5729
Cu2 0.5000 0.0000 0.2009
Cu3 0.5000 0.5000 0.0751
```

8.
Structure and calculated XRD peak list of Nd3Al4Cu2 (the GGA-PBE geometry in Alexandria; Cu Kα X-rays).
Neutral-atom scattering factors, no anomalous dispersion.

The 8 most intense peaks (10° ≤ 2θ ≤ 90°), low angle first:
(2 0 1), 2θ = 22.32°, rel. 37.3; (1 1 -1), 2θ = 23.07°, rel. 79.9; (1 1 2), 2θ = 32.03°, rel. 81.9; (0 0 3), 2θ = 32.39°, rel. 62.2; (3 1 0), 2θ = 32.60°, rel. 100.0; (0 2 0), 2θ = 39.99°, rel. 54.2; (3 1 -3), 2θ = 41.58°, rel. 47.3; (3 1 3), 2θ = 51.28°, rel. 36.2

Structural model:
```
data_Nd3Al4Cu2
_chemical_formula_sum 'Nd6 Al8 Cu4'
_cell_length_a 10.7221
_cell_length_b 4.5092
_cell_length_c 8.5554
_cell_angle_alpha 90.00
_cell_angle_beta 104.26
_cell_angle_gamma 90.00
_space_group_name_H-M_alt 'C 1 2/m 1'
_space_group_IT_number 12
_space_group_name_Hall '-C 2y'
loop_
_atom_site_label
_atom_site_fract_x
_atom_site_fract_y
_atom_site_fract_z
Nd1 0.0000 0.0000 0.0000
Nd2 0.1246 0.5000 0.6911
Al1 0.1040 0.0000 0.4210
Al2 0.2214 0.5000 0.0745
Cu1 0.1721 0.5000 0.3416
```

9.
Structure and calculated XRD peak list of Nd2Al6Cu3 (the GGA-PBE geometry in Alexandria; Cu Kα X-rays).
Neutral-atom scattering factors, no anomalous dispersion.

The 8 most intense peaks (10° ≤ 2θ ≤ 90°), low angle first:
(1 0 0), 2θ = 13.26°, rel. 26.5; (1 1 0), 2θ = 23.07°, rel. 24.5; (1 1 1), 2θ = 32.01°, rel. 100.0; (3 0 0), 2θ = 40.53°, rel. 38.5; (2 1 1), 2θ = 42.16°, rel. 24.9; (2 2 1), 2θ = 52.55°, rel. 20.8; (3 0 2), 2θ = 61.85°, rel. 21.4; (4 1 1), 2θ = 68.41°, rel. 22.9

Structural model:
```
data_Nd2Al6Cu3
_chemical_formula_sum 'Nd2 Al6 Cu3'
_cell_length_a 7.7099
_cell_length_b 7.7099
_cell_length_c 4.0616
_cell_angle_alpha 90.00
_cell_angle_beta 90.00
_cell_angle_gamma 120.00
_space_group_name_H-M_alt 'P -6 2 m'
_space_group_IT_number 189
_space_group_name_Hall 'P -6 -2'
loop_
_atom_site_label
_atom_site_fract_x
_atom_site_fract_y
_atom_site_fract_z
Nd1 0.3333 0.6667 0.0000
Al1 0.0000 0.1960 0.0000
Al2 0.0000 0.6946 0.5000
Cu1 0.0000 0.3678 0.5000
```

10.
Structure and calculated XRD peak list of NdAl3Cu3 (the GGA-PBE geometry in Alexandria; Cu Kα X-rays).
Neutral-atom scattering factors, no anomalous dispersion.

The 8 most intense peaks (10° ≤ 2θ ≤ 90°), low angle first:
(0 0 3), 2θ = 16.12°, rel. 27.2; (0 2 1), 2θ = 29.69°, rel. 45.0; (1 1 3), 2θ = 30.07°, rel. 39.0; (0 2 4), 2θ = 36.57°, rel. 100.0; (2 1 1), 2θ = 39.33°, rel. 43.3; (2 0 5), 2θ = 40.20°, rel. 34.1; (1 0 7), 2θ = 41.05°, rel. 36.0; (3 0 3), 2θ = 47.54°, rel. 38.7

Structural model:
```
data_NdAl3Cu3
_chemical_formula_sum 'Nd6 Al18 Cu18'
_cell_length_a 7.0664
_cell_length_b 7.0664
_cell_length_c 16.4916
_cell_angle_alpha 90.00
_cell_angle_beta 90.00
_cell_angle_gamma 120.00
_space_group_name_H-M_alt 'R -3 m'
_space_group_IT_number 166
_space_group_name_Hall '-R 3 2"'
loop_
_atom_site_label
_atom_site_fract_x
_atom_site_fract_y
_atom_site_fract_z
Nd1 0.0000 0.0000 0.1300
Al1 0.0790 0.5395 0.3574
Cu1 0.0879 0.5439 0.1034
```

11.
Structure and calculated XRD peak list of Nd3AlCu2Pt9 (the GGA-PBE geometry in Alexandria; Cu Kα X-rays).
Neutral-atom scattering factors, no anomalous dispersion.

The 8 most intense peaks (10° ≤ 2θ ≤ 90°), low angle first:
(0 2 1), 2θ = 30.91°, rel. 100.0; (2 0 2), 2θ = 40.21°, rel. 67.3; (2 2 0), 2θ = 48.06°, rel. 40.5; (4 0 1), 2θ = 58.24°, rel. 17.1; (0 4 2), 2θ = 64.40°, rel. 16.9; (0 2 4), 2θ = 67.31°, rel. 37.0; (2 4 1), 2θ = 78.77°, rel. 14.4; (4 2 2), 2θ = 84.24°, rel. 16.3

Structural model:
```
data_Nd3AlCu2Pt9
_chemical_formula_sum 'Nd3 Al1 Cu2 Pt9'
_cell_length_a 7.5730
_cell_length_b 7.5730
_cell_length_c 6.1477
_cell_angle_alpha 90.00
_cell_angle_beta 90.00
_cell_angle_gamma 120.00
_space_group_name_H-M_alt 'P -3 m 1'
_space_group_IT_number 164
_space_group_name_Hall '-P 3 2"'
loop_
_atom_site_label
_atom_site_fract_x
_atom_site_fract_y
_atom_site_fract_z
Nd1 0.0000 0.0000 0.0000
Nd2 0.3333 0.6667 0.6711
Al1 0.0000 0.0000 0.5000
Cu1 0.3333 0.6667 0.1676
Pt1 0.0000 0.5000 0.0000
Pt2 0.1649 0.3299 0.3317
```

12.
Structure and calculated XRD peak list of Nd2Al3ZnCu4 (the GGA-PBE geometry in Alexandria; Cu Kα X-rays).
Neutral-atom scattering factors, no anomalous dispersion.

The 8 most intense peaks (10° ≤ 2θ ≤ 90°), low angle first:
(1 0 1), 2θ = 22.65°, rel. 24.1; (1 0 3), 2θ = 34.06°, rel. 62.8; (1 1 2), 2θ = 34.70°, rel. 100.0; (2 0 0), 2θ = 42.37°, rel. 51.1; (1 0 5), 2θ = 50.25°, rel. 23.3; (2 1 3), 2θ = 55.44°, rel. 30.5; (2 1 5), 2θ = 67.77°, rel. 18.6; (3 1 2), 2θ = 72.55°, rel. 22.0

Structural model:
```
data_Nd2Al3ZnCu4
_chemical_formula_sum 'Nd2 Al3 Zn1 Cu4'
_cell_length_a 4.2669
_cell_length_b 4.2669
_cell_length_c 10.0314
_cell_angle_alpha 90.00
_cell_angle_beta 90.00
_cell_angle_gamma 90.00
_space_group_name_H-M_alt 'P -4 m 2'
_space_group_IT_number 115
_space_group_name_Hall 'P -4 -2'
loop_
_atom_site_label
_atom_site_fract_x
_atom_site_fract_y
_atom_site_fract_z
Nd1 0.0000 0.5000 0.2455
Al1 0.0000 0.5000 0.8728
Al2 0.5000 0.5000 0.5000
Zn1 0.0000 0.0000 0.5000
Cu1 0.0000 0.0000 0.0000
Cu2 0.0000 0.5000 0.6302
Cu3 0.5000 0.5000 0.0000
```